# 1
Diffraction record for Tb4Pm2Y2Mg. The powder diffraction line list is theoretical, not measured: it uses the GGA-PBE geometry in Alexandria and CuKα.

Cell and atoms:
```
Tb4Pm2Y2Mg
1.0
6.644 0.000 0.000
3.190 6.227 0.000
2.098 -0.819 7.175
Tb Pm Y Mg
4 2 2 1
direct
0.008 0.128 0.284 Tb
0.463 0.846 0.848 Tb
0.537 0.154 0.152 Tb
0.992 0.872 0.716 Tb
0.470 0.328 0.678 Pm
0.530 0.672 0.322 Pm
0.099 0.644 0.103 Y
0.901 0.356 0.897 Y
0.000 0.500 0.500 Mg
```

Largest 12 diffraction maxima, by angle, 2θ = 10–90°:
17.9°, I = 25.5
24.8°, I = 30.0
26.6°, I = 30.2
30.1°, I = 65.5
31.3°, I = 47.6
31.4°, I = 100.0
31.7°, I = 59.4
32.0°, I = 77.4
32.8°, I = 51.2
34.1°, I = 26.9
37.8°, I = 29.1
51.4°, I = 32.0



# 2
Diffraction record for PmMgTc4. The powder diffraction line list is theoretical, not measured: it uses the GGA-PBE geometry in Alexandria and CuKα.

Cell and atoms:
```
PmMgTc4
1.0
0.000 3.785 3.785
3.785 0.000 3.785
3.785 3.785 0.000
Pm Mg Tc
1 1 4
direct
0.000 0.000 0.000 Pm
0.750 0.750 0.750 Mg
0.375 0.375 0.375 Tc
0.375 0.375 0.874 Tc
0.375 0.874 0.375 Tc
0.874 0.375 0.375 Tc
```

Largest 12 diffraction maxima, by angle, 2θ = 10–90°:
20.3°, I = 22.4
23.5°, I = 13.2
33.5°, I = 21.0
39.5°, I = 100.0
41.3°, I = 46.2
48.1°, I = 6.6
52.7°, I = 5.4
59.9°, I = 7.8
63.9°, I = 31.7
70.4°, I = 26.0
83.8°, I = 11.0
85.0°, I = 16.6



# 3
Diffraction record for Pm4MgTe5. The powder diffraction line list is theoretical, not measured: it uses the GGA-PBE geometry in Alexandria and CuKα.

Cell and atoms:
```
Pm4MgTe5
1.0
-4.955 4.955 3.132
4.955 -4.955 3.132
4.955 4.955 -3.132
Pm Mg Te
4 1 5
direct
0.092 0.310 0.401 Pm
0.310 0.908 0.218 Pm
0.690 0.092 0.782 Pm
0.908 0.690 0.599 Pm
0.517 0.517 0.000 Mg
0.006 0.006 0.000 Te
0.220 0.599 0.819 Te
0.401 0.220 0.621 Te
0.599 0.780 0.379 Te
0.780 0.401 0.181 Te
```

Largest 12 diffraction maxima, by angle, 2θ = 10–90°:
12.6°, I = 3.2
24.6°, I = 2.9
28.5°, I = 100.0
30.6°, I = 4.8
35.7°, I = 5.3
40.7°, I = 73.9
50.5°, I = 25.3
58.5°, I = 3.8
59.0°, I = 11.5
66.8°, I = 30.6
74.1°, I = 21.7
88.2°, I = 6.8